No. 1
Diffraction record for EuMgAs. The X-ray powder pattern is computed, not measured: it uses a crystal structure in Alexandria, relaxed with PBE and CuKα.

Principal peaks in the range 2θ = 15–90°, sorted by position:
2θ (°), I_rel
22.96, 281
30.70, 1000
40.33, 356
40.87, 114
51.53, 232
58.76, 232
67.39, 207
68.14, 100

Structure:
Cell: 4.4727 4.4727 4.4164 Å, 90.00 90.00 120.00°
Space group P-6m2 (No. 187)
Inequivalent atoms, fractional coordinates:
Eu1 0.0000 0.0000 0.0000 [1 per cell]
Mg1 0.6667 0.3333 0.5000 [1 per cell]
As1 0.3333 0.6667 0.5000 [1 per cell]

---

No. 2
Diffraction record for Na5EuTaAs4. The X-ray powder pattern is computed, not measured: it uses a crystal structure in Alexandria, relaxed with PBE and CuKα.

Principal peaks in the range 2θ = 15–90°, sorted by position:
2θ (°), I_rel
15.81, 1000
15.94, 412
18.57, 362
30.84, 575
32.20, 300
32.56, 365
37.63, 855
37.77, 506

Structure:
Cell: 9.528 16.575 7.501 Å, 90.00 91.25 90.00°
Space group Cc (No. 9)
Inequivalent atoms, fractional coordinates:
Na1 0.000 0.033 0.000 [4 per cell]
Na2 0.011 0.360 0.336 [4 per cell]
Na3 0.229 0.430 0.808 [4 per cell]
Na4 0.285 0.072 0.349 [4 per cell]
Na5 0.301 0.266 0.499 [4 per cell]
Eu1 0.210 0.236 0.007 [4 per cell]
Ta1 0.007 0.165 0.613 [4 per cell]
As1 0.001 0.309 0.723 [4 per cell]
As2 0.008 0.171 0.280 [4 per cell]
As3 0.220 0.096 0.734 [4 per cell]
As4 0.287 0.403 0.203 [4 per cell]

---

No. 3
Diffraction record for PrEuAs. The X-ray powder pattern is computed, not measured: it uses a crystal structure in Alexandria, relaxed with PBE and CuKα.

Principal peaks in the range 2θ = 15–90°, sorted by position:
2θ (°), I_rel
24.85, 422
35.43, 1000
43.76, 126
50.97, 176
57.51, 169
63.61, 361
74.97, 112
85.75, 161

Structure:
Cell: 7.166 7.166 7.166 Å, 90.00 90.00 90.00°
Space group F-43m (No. 216)
Inequivalent atoms, fractional coordinates:
Pr1 0.000 0.000 0.000 [4 per cell]
Eu1 0.000 0.000 0.500 [4 per cell]
As1 0.250 0.250 0.250 [4 per cell]

---

No. 4
Diffraction record for Eu3As2S8. The X-ray powder pattern is computed, not measured: it uses a crystal structure in Alexandria, relaxed with PBE and CuKα.

Principal peaks in the range 2θ = 15–90°, sorted by position:
2θ (°), I_rel
21.50, 1000
27.36, 336
33.54, 566
35.16, 529
39.00, 245
40.19, 269
52.56, 296
53.31, 226

Structure:
Cell: 9.2561 9.2561 27.5434 Å, 90.00 90.00 120.00°
Space group R-3c (No. 167, hexagonal axes)
Inequivalent atoms, fractional coordinates:
Eu1 0.0000 0.3213 0.2500 [18 per cell]
As1 0.0000 0.0000 0.1595 [12 per cell]
S1 0.0000 0.0000 0.0787 [12 per cell]
S2 0.0390 0.2423 0.6853 [36 per cell]

---

No. 5
Diffraction record for EuY2As. The X-ray powder pattern is computed, not measured: it uses a crystal structure in Alexandria, relaxed with PBE and CuKα.

Principal peaks in the range 2θ = 15–90°, sorted by position:
2θ (°), I_rel
27.38, 177
28.83, 1000
30.28, 269
35.94, 306
40.55, 164
46.01, 330
51.17, 172
55.21, 158

Structure:
Cell: 3.9449 3.9449 29.3122 Å, 90.00 90.00 120.00°
Space group R-3m (No. 166, hexagonal axes)
Inequivalent atoms, fractional coordinates:
Eu1 0.0000 0.0000 0.0000 [3 per cell]
Y1 0.0000 0.0000 0.2241 [6 per cell]
As1 0.0000 0.0000 0.5000 [3 per cell]

---

No. 6
Diffraction record for As2F13. The X-ray powder pattern is computed, not measured: it uses a crystal structure in Alexandria, relaxed with PBE and CuKα.

Principal peaks in the range 2θ = 15–90°, sorted by position:
2θ (°), I_rel
15.27, 787
15.78, 513
21.24, 983
23.19, 673
23.79, 430
24.77, 1000
26.37, 398
44.27, 396

Structure:
Cell: 5.124 6.395 7.444 Å, 65.98 80.39 80.12°
Space group P-1 (No. 2)
Inequivalent atoms, fractional coordinates:
As1 0.168 0.127 0.225 [2 per cell]
F1 0.000 0.000 0.500 [1 per cell]
F2 0.087 0.879 0.212 [2 per cell]
F3 0.150 0.733 0.835 [2 per cell]
F4 0.221 0.355 0.283 [2 per cell]
F5 0.320 0.236 0.986 [2 per cell]
F6 0.398 0.490 0.578 [2 per cell]
F7 0.461 0.971 0.327 [2 per cell]

---

No. 7
Diffraction record for AsF. The X-ray powder pattern is computed, not measured: it uses a crystal structure in Alexandria, relaxed with PBE and CuKα.

Principal peaks in the range 2θ = 15–90°, sorted by position:
2θ (°), I_rel
16.98, 1000
19.54, 586
25.54, 653
33.85, 572
35.24, 759
36.47, 410
46.70, 423
47.03, 451

Structure:
Cell: 3.767 9.219 10.442 Å, 90.00 90.00 90.00°
Space group P2_12_12_1 (No. 19)
Inequivalent atoms, fractional coordinates:
As1 0.229 0.185 0.057 [4 per cell]
As2 0.233 0.032 0.406 [4 per cell]
F1 0.091 0.458 0.205 [4 per cell]
F2 0.103 0.608 0.988 [4 per cell]

---

No. 8
Diffraction record for AsHF. The X-ray powder pattern is computed, not measured: it uses a crystal structure in Alexandria, relaxed with PBE and CuKα.

Principal peaks in the range 2θ = 15–90°, sorted by position:
2θ (°), I_rel
19.97, 440
26.19, 277
31.21, 264
31.54, 1000
31.93, 395
33.71, 319
46.32, 272
48.88, 338

Structure:
Cell: 8.929 3.683 5.755 Å, 90.00 95.18 90.00°
Space group P2_1/c (No. 14)
Inequivalent atoms, fractional coordinates:
As1 0.095 0.250 0.013 [4 per cell]
H1 0.492 0.520 0.257 [4 per cell]
F1 0.438 0.747 0.319 [4 per cell]

---

No. 9
Diffraction record for HgAs2H2F14. The X-ray powder pattern is computed, not measured: it uses a crystal structure in Alexandria, relaxed with PBE and CuKα.

Principal peaks in the range 2θ = 15–90°, sorted by position:
2θ (°), I_rel
17.43, 1000
21.29, 603
23.24, 381
24.66, 367
26.18, 194
26.45, 316
28.59, 255
28.82, 265

Structure:
Cell: 5.074 6.931 7.971 Å, 86.95 78.90 77.55°
Space group P-1 (No. 2)
Inequivalent atoms, fractional coordinates:
Hg1 0.000 0.000 0.000 [1 per cell]
As1 0.370 0.279 0.266 [2 per cell]
H1 0.030 0.378 0.827 [2 per cell]
F1 0.100 0.415 0.155 [2 per cell]
F2 0.134 0.238 0.817 [2 per cell]
F3 0.135 0.285 0.455 [2 per cell]
F4 0.274 0.058 0.203 [2 per cell]
F5 0.358 0.869 0.654 [2 per cell]
F6 0.405 0.736 0.944 [2 per cell]
F7 0.456 0.501 0.301 [2 per cell]

---

No. 10
Diffraction record for K2AsHF6. The X-ray powder pattern is computed, not measured: it uses a crystal structure in Alexandria, relaxed with PBE and CuKα.

Principal peaks in the range 2θ = 15–90°, sorted by position:
2θ (°), I_rel
16.55, 727
16.78, 564
18.30, 783
19.04, 1000
27.54, 837
27.85, 719
31.58, 588
37.70, 536

Structure:
Cell: 5.488 6.274 6.285 Å, 61.40 65.27 67.29°
Space group P1 (No. 1)
Inequivalent atoms, fractional coordinates:
K1 0.000 0.000 0.000 [1 per cell]
K2 0.485 0.537 0.586 [1 per cell]
As1 0.235 0.283 0.284 [1 per cell]
H1 0.639 0.635 0.027 [1 per cell]
F1 0.069 0.403 0.573 [1 per cell]
F2 0.121 0.990 0.510 [1 per cell]
F3 0.425 0.133 0.028 [1 per cell]
F4 0.453 0.631 0.972 [1 per cell]
F5 0.554 0.156 0.371 [1 per cell]
F6 0.796 0.628 0.095 [1 per cell]